[1]
Starting from a cell relaxed with GGA-PBE, the powder diffractogram of Ba3In8Au3 was computed for Cu Kα (weighted mean of Kα1 and Kα2).
Peak positions follow from Bragg's law for the DFT cell and can differ from measured ones.

The 10 most intense peaks (10 to 80 degrees two-theta), sorted by position:
2theta  d [Å]  Rel. int.
12.74  6.948  14
29.12  3.066  24
30.52  2.929  100
33.21  2.697  20
36.25  2.478  39
37.09  2.424  16
38.89  2.316  14
40.27  2.239  31
49.98  1.825  12
54.25  1.691  33

Crystal structure
```
Ba3In8Au3
1.0
-2.4783 5.8540 6.9475
2.4783 -5.8540 6.9475
2.4783 5.8540 -6.9475
Ba In Au
3 8 3
direct
0.0000 0.0000 0.0000
0.3315 0.3315 0.0000
0.6685 0.6685 0.0000
0.0424 0.6747 0.3677
0.1661 0.8826 0.2835
0.3071 0.6747 0.6323
0.4009 0.1174 0.2835
0.5991 0.8826 0.7165
0.6929 0.3253 0.3677
0.8339 0.1174 0.7165
0.9576 0.3253 0.6323
0.2530 0.5000 0.7530
0.5000 0.0000 0.5000
0.7470 0.5000 0.2470
```

=====

[2]
Starting from a cell relaxed with GGA-PBE, the powder diffractogram of Ba3In2Au was computed for Cu Kα (weighted mean of Kα1 and Kα2).
Peak positions follow from Bragg's law for the DFT cell and can differ from measured ones.

The 10 most intense peaks (10 to 80 degrees two-theta), sorted by position:
2theta  d [Å]  Rel. int.
14.60  6.067  40
25.57  3.483  100
26.00  3.427  96
28.14  3.171  99
33.13  2.704  74
33.46  2.678  73
34.43  2.605  76
35.12  2.555  67
35.31  2.542  67
50.21  1.817  49

Crystal structure
```
Ba3In2Au
1.0
5.6505 -6.0667 0.0000
5.6505 6.0667 0.0000
-2.3039 0.0000 6.8981
Ba In Au
6 4 2
direct
0.0979 0.9021 0.7500
0.2262 0.4495 0.9321
0.4495 0.2262 0.4321
0.5505 0.7738 0.5679
0.7738 0.5505 0.0679
0.9021 0.0979 0.2500
0.1449 0.5212 0.4177
0.4788 0.8551 0.0823
0.5212 0.1449 0.9177
0.8551 0.4788 0.5823
0.1894 0.8106 0.2500
0.8106 0.1894 0.7500
```

=====

[3]
Starting from a cell relaxed with GGA-PBE, the powder diffractogram of Ba2In5Au3 was computed for Cu Kα (weighted mean of Kα1 and Kα2).
Peak positions follow from Bragg's law for the DFT cell and can differ from measured ones.

The 10 most intense peaks (10 to 80 degrees two-theta), sorted by position:
2theta  d [Å]  Rel. int.
30.79  2.904  100
30.93  2.891  63
33.98  2.638  51
36.28  2.476  57
37.03  2.428  22
39.77  2.267  21
40.50  2.227  20
41.38  2.182  34
58.75  1.572  21
61.92  1.499  22

Crystal structure
```
Ba2In5Au3
1.0
2.4760 -14.0293 0.0000
2.4760 14.0293 0.0000
0.0000 0.0000 7.7618
Ba In Au
4 10 6
direct
0.0195 0.9805 0.5000
0.3245 0.6755 0.4594
0.6755 0.3245 0.9594
0.9805 0.0195 0.0000
0.1014 0.8986 0.1524
0.2055 0.7945 0.6494
0.2084 0.7916 0.2540
0.3748 0.6252 0.9819
0.4460 0.5540 0.3199
0.5540 0.4460 0.8199
0.6252 0.3748 0.4819
0.7916 0.2084 0.7540
0.7945 0.2055 0.1494
0.8986 0.1014 0.6524
0.1086 0.8914 0.7692
0.2728 0.7272 0.9488
0.4488 0.5512 0.7034
0.5512 0.4488 0.2034
0.7272 0.2728 0.4488
0.8914 0.1086 0.2692
```

=====

[4]
Starting from a cell relaxed with GGA-PBE, the powder diffractogram of Ba2In12Au was computed for Cu Kα (weighted mean of Kα1 and Kα2).
Peak positions follow from Bragg's law for the DFT cell and can differ from measured ones.

The 10 most intense peaks (10 to 80 degrees two-theta), sorted by position:
2theta  d [Å]  Rel. int.
26.88  3.317  77
27.29  3.267  86
30.14  2.965  29
32.46  2.758  36
35.20  2.550  30
35.89  2.502  42
36.17  2.483  100
39.74  2.268  85
45.64  1.988  43
58.68  1.573  33

Crystal structure
```
Ba2In12Au
1.0
7.0237 0.0000 0.0000
0.0000 7.0237 0.0000
0.0000 0.0000 17.8287
Ba In Au
4 24 2
direct
0.2500 0.7500 0.2442
0.2500 0.7500 0.7558
0.7500 0.2500 0.2442
0.7500 0.2500 0.7558
0.9999 0.0001 0.0858
0.0001 0.9999 0.9142
0.0001 0.5001 0.0858
0.9999 0.4999 0.9142
0.0818 0.5818 0.4311
0.0818 0.9182 0.5689
0.2500 0.2500 0.1819
0.2500 0.2500 0.3443
0.2500 0.2500 0.6557
0.2500 0.2500 0.8181
0.4182 0.5818 0.5689
0.4182 0.9182 0.4311
0.4999 0.9999 0.0858
0.5001 0.0001 0.9142
0.5001 0.4999 0.0858
0.4999 0.5001 0.9142
0.5818 0.0818 0.5689
0.5818 0.4182 0.4311
0.7500 0.7500 0.1819
0.7500 0.7500 0.3443
0.7500 0.7500 0.6557
0.7500 0.7500 0.8181
0.9182 0.0818 0.4311
0.9182 0.4182 0.5689
0.2500 0.7500 0.0000
0.7500 0.2500 0.0000
```

=====

[5]
Starting from a cell relaxed with GGA-PBE, the powder diffractogram of BaIn4Au12 was computed for Cu Kα (weighted mean of Kα1 and Kα2).
Peak positions follow from Bragg's law for the DFT cell and can differ from measured ones.

The 10 most intense peaks (10 to 80 degrees two-theta), sorted by position:
2theta  d [Å]  Rel. int.
29.81  2.997  100
35.44  2.533  31
42.67  2.119  23
46.97  1.934  16
49.01  1.859  46
58.43  1.579  9
66.97  1.397  12
68.61  1.368  10
76.56  1.244  12
79.66  1.204  8

Crystal structure
```
BaIn4Au12
1.0
-4.7384 4.7384 4.7384
4.7384 -4.7384 4.7384
4.7384 4.7384 -4.7384
Ba In Au
1 4 12
direct
0.0000 0.0000 0.0000
0.0000 0.0000 0.5000
0.0000 0.5000 0.0000
0.5000 0.0000 0.0000
0.5000 0.5000 0.5000
0.1460 0.3534 0.4995
0.1460 0.6466 0.7926
0.2074 0.8540 0.3534
0.3534 0.2074 0.8540
0.3534 0.4995 0.1460
0.4995 0.1460 0.3534
0.5005 0.8540 0.6466
0.6466 0.5005 0.8540
0.6466 0.7926 0.1460
0.7926 0.1460 0.6466
0.8540 0.3534 0.2074
0.8540 0.6466 0.5005
```

=====

[6]
Starting from a cell relaxed with GGA-PBE, the powder diffractogram of BaInAu6 was computed for Cu Kα (weighted mean of Kα1 and Kα2).
Peak positions follow from Bragg's law for the DFT cell and can differ from measured ones.

The 10 most intense peaks (10 to 80 degrees two-theta), sorted by position:
2theta  d [Å]  Rel. int.
31.70  2.823  23
35.55  2.525  100
39.08  2.305  51
56.46  1.630  13
58.98  1.566  24
61.45  1.509  27
66.21  1.412  14
75.27  1.263  7
77.47  1.232  22
79.65  1.204  7

Crystal structure
```
BaInAu6
1.0
5.6462 0.0000 0.0000
0.0000 5.6462 0.0000
0.0000 0.0000 5.6462
Ba In Au
1 1 6
direct
0.0000 0.0000 0.0000
0.5000 0.5000 0.5000
0.0000 0.2573 0.5000
0.0000 0.7427 0.5000
0.2573 0.5000 0.0000
0.5000 0.0000 0.2573
0.5000 0.0000 0.7427
0.7427 0.5000 0.0000
```